The following is a calculated X-ray diffraction stick pattern of Mg10TlIn6. It was derived from a PBE-relaxed structure, using Cu Ka.
Kinematic intensities with the Lorentz-polarization factor, no thermal factor.

Structure:
Unit cell a=8.703 b=8.703 c=6.268 alpha=90.00 beta=90.00 gamma=120.00
Fractional coordinates of all 17 atoms:
1 Mg 0.000 0.283 0.307
2 Mg 0.000 0.717 0.693
3 Mg 0.283 0.000 0.307
4 Mg 0.283 0.283 0.693
5 Mg 0.333 0.667 0.000
6 Mg 0.333 0.667 0.500
7 Mg 0.667 0.333 0.000
8 Mg 0.667 0.333 0.500
9 Mg 0.717 0.000 0.693
10 Mg 0.717 0.717 0.307
11 Tl 0.000 0.000 0.000
12 In 0.000 0.376 0.779
13 In 0.000 0.624 0.221
14 In 0.376 0.000 0.779
15 In 0.376 0.376 0.221
16 In 0.624 0.000 0.221
17 In 0.624 0.624 0.779

Largest 10 diffraction maxima, by angle, 2θ from 10° to 90°:
d 4.819, 18.41°, intensity 263, hkl 1 0 1; d 3.769, 23.61°, intensity 300, hkl 2 0 0; d 3.574, 24.91°, intensity 1000, hkl 1 1 1; d 3.230, 27.62°, intensity 232, hkl 2 0 1; d 2.593, 34.59°, intensity 523, hkl 3 -1 1; d 2.543, 35.29°, intensity 956, hkl 1 1 2; d 2.512, 35.74°, intensity 846, hkl 3 0 0; d 1.983, 45.75°, intensity 259, hkl 3 1 1; d 1.883, 48.33°, intensity 208, hkl 2 -1 3; d 1.787, 51.11°, intensity 229, hkl 4 -2 2